No. 1
Computed powder X-ray diffraction pattern
Compound: Ce2Ga8Ru
Radiation: Cu Kα X-rays
Structure: DFT lattice parameters and positions (GGA-PBE)
No peak broadening, texture or thermal motion is included.

Atomic structure:
Lattice parameters (Å, degrees): 4.357 4.357 11.318 90.00 90.00 90.00
Fractional coordinates of all 11 atoms:
Ce  0.000  0.000  0.194
Ce  0.000  0.000  0.806
Ga  0.000  0.500  0.000
Ga  0.000  0.500  0.381
Ga  0.000  0.500  0.619
Ga  0.500  0.000  0.000
Ga  0.500  0.000  0.381
Ga  0.500  0.000  0.619
Ga  0.500  0.500  0.194
Ga  0.500  0.500  0.806
Ru  0.000  0.000  0.500

Largest 8 diffraction maxima, by angle, 10 to 90 degrees two-theta:
2theta, intensity
20.38, 21
33.10, 34
37.69, 100
39.82, 17
41.45, 56
58.83, 21
60.05, 18
73.11, 27

No. 2
Computed powder X-ray diffraction pattern
Compound: TmThTlPd
Radiation: Cu Kα X-rays
Structure: DFT lattice parameters and positions (GGA-PBE)
No peak broadening, texture or thermal motion is included.

Atomic structure:
Lattice parameters (Å, degrees): 5.249 5.249 5.249 60.00 60.00 60.00
Fractional coordinates of all 4 atoms:
Tm  0.000  0.000  0.000
Th  0.500  0.500  0.500
Tl  0.250  0.250  0.250
Pd  0.750  0.750  0.750

Largest 8 diffraction maxima, by angle, 10 to 90 degrees two-theta:
2theta, intensity
20.72, 5
23.98, 2
34.16, 100
40.29, 3
49.09, 18
61.16, 38
71.95, 12
82.11, 17

No. 3
Computed powder X-ray diffraction pattern
Compound: Pm3SnRh
Radiation: Cu Kα X-rays
Structure: DFT lattice parameters and positions (GGA-PBE)
No peak broadening, texture or thermal motion is included.

Atomic structure:
Lattice parameters (Å, degrees): 10.382 10.382 6.701 102.45 102.45 52.69
Fractional coordinates of all 20 atoms:
Pm  0.128  0.197  0.454
Pm  0.197  0.128  0.954
Pm  0.211  0.719  0.970
Pm  0.263  0.460  0.339
Pm  0.281  0.789  0.530
Pm  0.460  0.263  0.839
Pm  0.540  0.737  0.161
Pm  0.719  0.211  0.470
Pm  0.737  0.540  0.661
Pm  0.789  0.281  0.030
Pm  0.803  0.872  0.046
Pm  0.872  0.803  0.546
Sn  0.083  0.490  0.816
Sn  0.490  0.083  0.316
Sn  0.510  0.917  0.684
Sn  0.917  0.510  0.184
Rh  0.004  0.996  0.250
Rh  0.500  0.500  0.250
Rh  0.500  0.500  0.750
Rh  0.996  0.004  0.750

Largest 8 diffraction maxima, by angle, 10 to 90 degrees two-theta:
2theta, intensity
29.53, 45
29.68, 46
30.66, 56
32.60, 77
33.12, 61
33.23, 100
35.59, 74
55.26, 39